No. 1
Diffraction record for V4CuO11. The XRD peak list is computed, not measured: it uses a structure optimized by DFT (PBE+U) and Cu Kα (λ = 1.5418 Å).

a b c (Å): 15.1791 3.6029 7.3787
angles (deg): 90.00 105.67 90.00
Space group Cm (No. 8)
One atom of each set of equivalent atoms:
V (0.0000, 0.0000, 0.0000) [2 per cell]
V (0.0502, 0.5000, 0.6695) [2 per cell]
V (0.2807, 0.5000, 0.9888) [2 per cell]
V (0.3376, 0.0000, 0.6719) [2 per cell]
Cu (0.1665, 0.5000, 0.3258) [2 per cell]
O (0.0400, 0.0000, 0.7378) [2 per cell]
O (0.0822, 0.5000, 0.4700) [2 per cell]
O (0.1020, 0.0000, 0.1688) [2 per cell]
O (0.1693, 0.5000, 0.8361) [2 per cell]
O (0.2380, 0.0000, 0.5037) [2 per cell]
O (0.2574, 0.5000, 0.1993) [2 per cell]
O (0.3007, 0.0000, 0.9272) [2 per cell]
O (0.3510, 0.5000, 0.7509) [2 per cell]
O (0.4189, 0.5000, 0.1194) [2 per cell]
O (0.4209, 0.0000, 0.5490) [2 per cell]
O (0.4908, 0.0000, 0.9183) [2 per cell]

Principal peaks in the range 2θ = 10–90°, sorted by position:
- 2θ = 14.86°, 5.962 Å, I = 47, (2 0 -1)
- 2θ = 19.64°, 4.520 Å, I = 49, (2 0 1)
- 2θ = 29.17°, 3.061 Å, I = 100, (1 1 1)
- 2θ = 29.98°, 2.981 Å, I = 59, (4 0 -2)
- 2θ = 30.38°, 2.942 Å, I = 67, (4 0 1)
- 2θ = 50.68°, 1.801 Å, I = 47, (0 2 0)



No. 2
Diffraction record for VCu3O4. The XRD peak list is computed, not measured: it uses a structure optimized by DFT (PBE+U) and Cu Kα (λ = 1.5418 Å).

a b c (Å): 4.5912 4.5912 9.0376
angles (deg): 90.00 90.00 90.00
Space group I-42m (No. 121)
One atom of each set of equivalent atoms:
V (0.0000, 0.0000, 0.0000) [2 per cell]
Cu (0.0000, 0.0000, 0.5000) [2 per cell]
Cu (0.0000, 0.5000, 0.2500) [4 per cell]
O (0.2261, 0.2261, 0.1145) [8 per cell]

Principal peaks in the range 2θ = 10–90°, sorted by position:
- 2θ = 34.00°, 2.637 Å, I = 100, (1 1 2)
- 2θ = 39.25°, 2.296 Å, I = 18, (2 0 0)
- 2θ = 56.71°, 1.623 Å, I = 14, (2 2 0)
- 2θ = 57.21°, 1.610 Å, I = 28, (2 0 4)
- 2θ = 67.80°, 1.382 Å, I = 22, (3 1 2)
- 2θ = 68.70°, 1.366 Å, I = 11, (1 1 6)



No. 3
Diffraction record for V4Cu3O12. The XRD peak list is computed, not measured: it uses a structure optimized by DFT (PBE+U) and Cu Kα (λ = 1.5418 Å).

a b c (Å): 7.2852 7.2852 7.2852
angles (deg): 90.00 90.00 90.00
Space group Im-3 (No. 204)
One atom of each set of equivalent atoms:
V (0.2500, 0.2500, 0.2500) [8 per cell]
Cu (0.0000, 0.0000, 0.5000) [6 per cell]
O (0.0000, 0.3068, 0.1862) [24 per cell]

Principal peaks in the range 2θ = 10–90°, sorted by position:
- 2θ = 17.21°, 5.151 Å, I = 28, (1 1 0)
- 2θ = 30.05°, 2.974 Å, I = 17, (2 1 1)
- 2θ = 34.83°, 2.576 Å, I = 100, (2 2 0)
- 2θ = 50.08°, 1.821 Å, I = 31, (4 0 0)
- 2θ = 62.45°, 1.487 Å, I = 50, (4 2 2)
- 2θ = 84.02°, 1.152 Å, I = 16, (6 2 0)



No. 4
Diffraction record for V6Cu2O15. The XRD peak list is computed, not measured: it uses a structure optimized by DFT (PBE+U) and Cu Kα (λ = 1.5418 Å).

a b c (Å): 3.7023 7.8767 10.1962
angles (deg): 105.46 90.38 103.35
Space group P-1 (No. 2)
One atom of each set of equivalent atoms:
V (0.1149, 0.2255, 0.1183) [2 per cell]
V (0.2850, 0.5724, 0.4062) [2 per cell]
V (0.3320, 0.6625, 0.0884) [2 per cell]
Cu (0.4826, 0.0610, 0.3543) [2 per cell]
O (0.0000, 0.0000, 0.0000) [1 per cell]
O (0.1084, 0.1898, 0.2737) [2 per cell]
O (0.1898, 0.3795, 0.9634) [2 per cell]
O (0.2425, 0.4838, 0.5715) [2 per cell]
O (0.2584, 0.5179, 0.2260) [2 per cell]
O (0.3676, 0.7383, 0.9139) [2 per cell]
O (0.4019, 0.8011, 0.4653) [2 per cell]
O (0.4325, 0.8654, 0.2041) [2 per cell]

Principal peaks in the range 2θ = 10–90°, sorted by position:
- 2θ = 24.79°, 3.591 Å, I = 35, (1 0 0)
- 2θ = 25.78°, 3.455 Å, I = 81, (1 0 -1)
- 2θ = 25.91°, 3.438 Å, I = 54, (1 -1 1)
- 2θ = 28.13°, 3.172 Å, I = 100, (0 2 1)
- 2θ = 31.19°, 2.868 Å, I = 74, (0 2 -3)
- 2θ = 49.22°, 1.851 Å, I = 46, (2 -1 0)



No. 5
Diffraction record for V6CuO15. The XRD peak list is computed, not measured: it uses a structure optimized by DFT (PBE+U) and Cu Kα (λ = 1.5418 Å).

a b c (Å): 7.3720 7.9643 10.3227
angles (deg): 73.08 90.00 76.67
Space group P-1 (No. 2)
One atom of each set of equivalent atoms:
V (0.0564, 0.2723, 0.1159) [2 per cell]
V (0.1427, 0.9336, 0.4051) [2 per cell]
V (0.1662, 0.8322, 0.0964) [2 per cell]
V (0.3342, 0.1630, 0.9087) [2 per cell]
V (0.3573, 0.0739, 0.5939) [2 per cell]
V (0.4425, 0.7276, 0.8814) [2 per cell]
Cu (0.2366, 0.5550, 0.6366) [2 per cell]
O (0.0000, 0.5000, 0.0000) [1 per cell]
O (0.0378, 0.2965, 0.2692) [2 per cell]
O (0.0845, 0.1309, 0.9545) [2 per cell]
O (0.1204, 0.0134, 0.5726) [2 per cell]
O (0.1291, 0.9814, 0.2207) [2 per cell]
O (0.1847, 0.7637, 0.9211) [2 per cell]
O (0.1980, 0.7096, 0.4646) [2 per cell]
O (0.2188, 0.6360, 0.2079) [2 per cell]
O (0.2852, 0.3669, 0.7924) [2 per cell]
O (0.3023, 0.2928, 0.5419) [2 per cell]
O (0.3164, 0.2346, 0.0835) [2 per cell]
O (0.3711, 0.0148, 0.7760) [2 per cell]
O (0.3765, 0.9890, 0.4266) [2 per cell]
O (0.3964, 0.8836, 0.0407) [2 per cell]
O (0.4375, 0.6973, 0.7309) [2 per cell]
O (0.5000, 0.5000, 0.0000) [1 per cell]

Principal peaks in the range 2θ = 10–90°, sorted by position:
- 2θ = 11.97°, 7.395 Å, I = 46, (0 1 0)
- 2θ = 25.88°, 3.443 Å, I = 100, (2 0 -1)
- 2θ = 28.20°, 3.164 Å, I = 63, (0 2 -1)
- 2θ = 30.53°, 2.928 Å, I = 52, (0 2 3)
- 2θ = 32.45°, 2.759 Å, I = 37, (2 2 2)
- 2θ = 49.45°, 1.843 Å, I = 35, (4 1 0)



No. 6
Diffraction record for V12Cu10O33. The XRD peak list is computed, not measured: it uses a structure optimized by DFT (PBE+U) and Cu Kα (λ = 1.5418 Å).

a b c (Å): 5.6332 10.7718 13.3795
angles (deg): 72.72 79.23 77.22
Space group P1 (No. 1)
One atom of each set of equivalent atoms:
V (0.0000, 0.0000, 0.0000) [1 per cell]
V (0.0148, 0.8097, 0.4712) [1 per cell]
V (0.0705, 0.3023, 0.8574) [1 per cell]
V (0.1650, 0.5052, 0.5855) [1 per cell]
V (0.3280, 0.6819, 0.6604) [1 per cell]
V (0.3861, 0.4661, 0.1327) [1 per cell]
V (0.4018, 0.9797, 0.5258) [1 per cell]
V (0.4988, 0.1665, 0.2568) [1 per cell]
V (0.5969, 0.6482, 0.1964) [1 per cell]
V (0.6655, 0.1596, 0.7892) [1 per cell]
V (0.7004, 0.3466, 0.3118) [1 per cell]
V (0.7821, 0.8400, 0.9281) [1 per cell]
Cu (0.0357, 0.5827, 0.3386) [1 per cell]
Cu (0.1047, 0.5582, 0.9054) [1 per cell]
Cu (0.2023, 0.9757, 0.7577) [1 per cell]
Cu (0.2616, 0.9402, 0.2257) [1 per cell]
Cu (0.3582, 0.2161, 0.0269) [1 per cell]
Cu (0.4572, 0.2188, 0.5495) [1 per cell]
Cu (0.6187, 0.5812, 0.8795) [1 per cell]
Cu (0.7307, 0.9303, 0.6724) [1 per cell]
Cu (0.7884, 0.8687, 0.2425) [1 per cell]
Cu (0.9434, 0.2813, 0.5479) [1 per cell]
O (0.0139, 0.6407, 0.4654) [1 per cell]
O (0.0277, 0.6764, 0.6429) [1 per cell]
O (0.0667, 0.9074, 0.1230) [1 per cell]
O (0.0823, 0.1538, 0.9923) [1 per cell]
O (0.0845, 0.4098, 0.7117) [1 per cell]
O (0.1099, 0.8945, 0.9065) [1 per cell]
O (0.1955, 0.3876, 0.5149) [1 per cell]
O (0.2402, 0.0905, 0.6084) [1 per cell]
O (0.2921, 0.6057, 0.2053) [1 per cell]
O (0.3058, 0.8286, 0.4935) [1 per cell]
O (0.3245, 0.5491, 0.0063) [1 per cell]
O (0.3491, 0.2968, 0.1375) [1 per cell]
O (0.3546, 0.8399, 0.6715) [1 per cell]
O (0.3802, 0.0825, 0.3936) [1 per cell]
O (0.3886, 0.5883, 0.7848) [1 per cell]
O (0.3910, 0.3521, 0.3023) [1 per cell]
O (0.4271, 0.2507, 0.8617) [1 per cell]
O (0.4506, 0.5528, 0.5814) [1 per cell]
O (0.5247, 0.0378, 0.1963) [1 per cell]
O (0.5319, 0.7667, 0.2644) [1 per cell]
O (0.6578, 0.2381, 0.6589) [1 per cell]
O (0.6601, 0.9861, 0.7974) [1 per cell]
O (0.6908, 0.4591, 0.1336) [1 per cell]
O (0.6919, 0.0011, 0.9888) [1 per cell]
O (0.7220, 0.7285, 0.0704) [1 per cell]
O (0.7274, 0.2850, 0.4449) [1 per cell]
O (0.7570, 0.9084, 0.5356) [1 per cell]
O (0.7970, 0.5143, 0.2873) [1 per cell]
O (0.8069, 0.2031, 0.2619) [1 per cell]
O (0.8243, 0.7131, 0.8664) [1 per cell]
O (0.9024, 0.4269, 0.9114) [1 per cell]
O (0.9543, 0.1710, 0.8153) [1 per cell]
O (0.9948, 0.8881, 0.3398) [1 per cell]

Principal peaks in the range 2θ = 10–90°, sorted by position:
- 2θ = 20.99°, 4.232 Å, I = 100, (-1 1 1)
- 2θ = 22.88°, 3.887 Å, I = 34, (1 0 -2)
- 2θ = 26.41°, 3.375 Å, I = 37, (0 3 0)
- 2θ = 31.78°, 2.815 Å, I = 61, (0 1 -4)
- 2θ = 34.50°, 2.600 Å, I = 66, (0 4 2)
- 2θ = 35.38°, 2.537 Å, I = 39, (1 -2 3)



No. 7
Diffraction record for V2Cu3O9. The XRD peak list is computed, not measured: it uses a structure optimized by DFT (PBE+U) and Cu Kα (λ = 1.5418 Å).

a b c (Å): 7.6097 6.5567 7.7872
angles (deg): 90.00 93.55 90.00
Space group P2_1/m (No. 11)
One atom of each set of equivalent atoms:
V (0.1648, 0.2500, 0.2894) [2 per cell]
V (0.2334, 0.2500, 0.8390) [2 per cell]
Cu (0.1740, 0.7500, 0.4167) [2 per cell]
Cu (0.3393, 0.7500, 0.8004) [2 per cell]
Cu (0.5000, 0.0000, 0.5000) [2 per cell]
O (0.0403, 0.2500, 0.7168) [2 per cell]
O (0.0472, 0.7500, 0.6655) [2 per cell]
O (0.1833, 0.2500, 0.0609) [2 per cell]
O (0.2681, 0.0309, 0.3839) [4 per cell]
O (0.2889, 0.7500, 0.0189) [2 per cell]
O (0.3611, 0.0353, 0.7975) [4 per cell]
O (0.4004, 0.7500, 0.5655) [2 per cell]

Principal peaks in the range 2θ = 10–90°, sorted by position:
- 2θ = 11.38°, 7.772 Å, I = 100, (0 0 1)
- 2θ = 25.09°, 3.550 Å, I = 87, (1 0 -2)
- 2θ = 26.76°, 3.332 Å, I = 67, (2 0 1)
- 2θ = 27.18°, 3.281 Å, I = 67, (0 2 0)
- 2θ = 29.69°, 3.009 Å, I = 47, (1 2 0)
- 2θ = 35.90°, 2.501 Å, I = 60, (1 0 -3)